Starting from DFT lattice parameters and positions (PBE), the powder X-ray diffraction pattern of La2Al4O9 was computed for Cu Kα (weighted mean of Kα1 and Kα2).
Intensities are scaled so that the largest is 100.

Largest 12 diffraction maxima, low angle first, 10 to 90 degrees two-theta:
- hkl 0 0 1, 15.5 deg, I = 61
- hkl 2 1 0, 25.5 deg, I = 21
- hkl 0 2 1, 26.1 deg, I = 24
- hkl 1 2 1, 28.6 deg, I = 72
- hkl 2 1 1, 29.9 deg, I = 100
- hkl 0 0 2, 31.2 deg, I = 25
- hkl 1 3 0, 33.8 deg, I = 22
- hkl 2 1 2, 40.7 deg, I = 43
- hkl 1 4 0, 44.3 deg, I = 19
- hkl 1 4 1, 47.2 deg, I = 24
- hkl 2 1 3, 54.8 deg, I = 18
- hkl 3 3 2, 58.3 deg, I = 32

Lattice parameters (Å, degrees): 7.6787 8.4857 5.7269 90.00 90.00 90.00
Space group Pbam (No. 55)
Unique sites:
La (0.1519, 0.1784, 0.0000) x4
Al (0.0000, 0.5000, 0.2592) x4
Al (0.1414, 0.8392, 0.5000) x4
O (0.0000, 0.0000, 0.5000) x2
O (0.1022, 0.7190, 0.2493) x8
O (0.1481, 0.4277, 0.5000) x4
O (0.1545, 0.4501, 0.0000) x4